Structure and computed powder diffractogram of Li2UBr6 (a cell relaxed with GGA-PBE; a wavelength of 1.5418 Å).

Crystal structure
```
Li2UBr6
1.0
6.967 0.000 0.000
-3.484 6.034 0.000
0.000 0.000 41.246
Li U Br
12 6 36
Cartesian
0.000 0.000 3.411
0.000 0.000 17.212
0.000 0.000 24.034
0.000 0.000 37.834
0.000 4.022 3.467
0.000 4.022 10.311
0.000 4.022 17.156
0.000 4.022 30.934
3.484 2.011 10.311
3.484 2.011 24.089
3.484 2.011 30.934
3.484 2.011 37.779
0.000 0.000 10.311
0.000 0.000 30.934
0.000 4.022 24.059
0.000 4.022 37.809
3.484 2.011 3.436
3.484 2.011 17.186
5.807 2.008 8.753
-1.159 2.008 29.376
5.802 2.013 1.879
-1.160 2.015 22.501
4.644 4.018 18.744
-2.318 4.021 39.367
4.642 4.026 11.870
-2.324 4.026 32.493
-1.158 2.016 36.249
-2.317 4.023 25.619
2.318 0.001 8.753
-1.165 6.033 29.376
1.160 2.008 11.870
1.159 2.008 32.493
1.158 2.016 25.619
-1.159 6.029 36.249
2.326 0.003 1.879
-1.158 6.031 22.501
2.324 0.005 15.626
1.167 2.010 4.997
1.165 2.013 18.744
1.160 2.015 39.367
4.642 0.003 18.744
1.158 6.031 39.367
2.323 4.018 1.879
2.318 4.021 22.501
2.317 4.023 36.249
1.159 6.029 25.619
4.649 0.001 11.870
1.165 6.033 32.493
4.643 0.005 4.997
2.326 4.018 15.626
2.325 4.026 8.753
2.324 4.026 29.376
5.801 2.010 15.626
4.641 4.018 4.997
```

Largest 10 diffraction maxima, low angle first, 2θ from 5° to 70°:
Position (°2θ), I_rel
12.9, 47
15.3, 24
16.0, 29
17.0, 19
28.7, 100
36.7, 56
45.1, 35
47.5, 30
54.3, 16
59.5, 14

Structure and computed powder diffractogram of Li2UBr6 (a cell relaxed with GGA-PBE; a wavelength of 1.5418 Å).

Crystal structure
```
Li2UBr6
1.0
6.982 0.000 0.000
-3.491 6.047 0.000
0.000 0.000 7.017
Li U Br
2 1 6
Cartesian
0.000 4.031 0.000
3.491 2.016 0.000
0.000 0.000 0.000
-1.162 2.013 1.557
-2.329 4.034 5.460
2.325 0.000 1.557
1.162 2.013 5.460
4.658 0.000 5.460
2.329 4.034 1.557
```

Largest 10 diffraction maxima, low angle first, 2θ from 5° to 70°:
Position (°2θ), I_rel
12.6, 54
14.6, 53
19.4, 56
28.6, 100
29.4, 21
36.3, 59
39.4, 20
41.6, 17
45.0, 35
46.7, 32

Structure and computed powder diffractogram of LiUBr4 (a cell relaxed with GGA-PBE; a wavelength of 1.5418 Å).

Crystal structure
```
LiUBr4
1.0
7.348 0.000 0.000
-3.674 6.363 0.000
0.000 0.000 12.724
Li U Br
3 3 12
Cartesian
0.000 0.000 0.000
0.000 4.242 6.362
3.674 2.121 6.362
0.000 0.000 6.362
0.000 4.242 0.000
3.674 2.121 0.000
-1.176 2.037 11.154
-1.223 2.119 4.866
-2.451 4.245 7.858
-2.498 4.326 1.569
2.352 0.000 11.154
1.176 2.037 1.569
2.447 0.000 4.866
1.223 2.119 7.858
4.901 0.000 7.858
2.451 4.245 4.866
4.996 0.000 1.569
2.498 4.326 11.154
```

Largest 10 diffraction maxima, low angle first, 2θ from 5° to 70°:
Position (°2θ), I_rel
13.9, 40
15.6, 59
25.2, 28
28.0, 100
37.4, 55
38.1, 24
42.6, 39
49.6, 23
51.8, 19
58.0, 21

Structure and computed powder diffractogram of Li2UBr6 (a cell relaxed with GGA-PBE; a wavelength of 1.5418 Å).

Crystal structure
```
Li2UBr6
1.0
7.114 0.000 0.000
0.000 24.112 0.000
-2.530 0.000 6.695
Li U Br
8 4 24
Cartesian
0.000 0.000 0.000
-1.265 1.956 3.347
-1.265 14.056 3.347
3.557 5.933 0.000
2.292 8.148 3.347
2.292 11.946 3.347
3.557 17.943 0.000
2.292 20.191 3.347
0.000 4.039 0.000
-1.265 10.016 3.347
0.000 16.057 0.000
-1.265 22.065 3.347
0.992 1.998 1.668
-0.270 4.014 5.067
-0.250 24.086 4.999
-0.264 16.079 5.068
1.013 22.084 1.716
1.015 14.114 1.732
1.080 10.039 1.777
-0.019 12.063 4.835
0.031 8.060 4.881
0.060 20.122 4.852
1.336 18.036 1.490
1.342 5.984 1.514
3.241 5.984 5.181
3.248 18.036 5.205
4.523 20.122 1.843
4.553 8.060 1.814
4.603 12.063 1.860
3.503 10.039 4.917
3.569 14.114 4.963
3.571 22.084 4.979
4.848 16.079 1.627
4.853 4.014 1.628
4.833 24.086 1.696
3.592 1.998 5.027
```

Largest 10 diffraction maxima, low angle first, 2θ from 5° to 70°:
Position (°2θ), I_rel
13.3, 38
14.7, 29
15.1, 69
16.8, 41
19.9, 34
26.9, 27
30.5, 58
31.3, 100
44.2, 35
44.4, 34

Structure and computed powder diffractogram of Li2UBr6 (a cell relaxed with GGA-PBE; a wavelength of 1.5418 Å).

Crystal structure
```
Li2UBr6
1.0
6.967 0.000 0.000
-3.484 6.034 0.000
0.000 0.000 13.581
Li U Br
4 2 12
Cartesian
0.000 0.000 3.395
0.000 0.000 10.186
0.000 4.022 3.395
3.484 2.011 10.186
0.000 4.022 10.186
3.484 2.011 3.395
-1.143 2.008 1.820
-2.316 4.040 4.970
1.143 2.008 4.970
-1.173 6.020 1.820
2.310 0.014 8.610
1.167 1.994 11.761
2.316 4.040 1.820
1.173 6.020 4.970
4.657 0.014 11.761
2.341 4.026 8.610
5.800 1.994 8.610
4.626 4.026 11.761
```

Largest 10 diffraction maxima, low angle first, 2θ from 5° to 70°:
Position (°2θ), I_rel
13.0, 40
16.1, 61
24.6, 24
28.8, 100
30.3, 15
37.0, 54
40.1, 14
45.1, 34
47.9, 28
54.4, 16

Structure and computed powder diffractogram of Li2ZnBr4 (a cell relaxed with GGA-PBE; a wavelength of 1.5418 Å).

Crystal structure
```
Li2ZnBr4
1.0
13.815 0.000 0.000
0.000 7.980 0.000
0.000 0.000 6.529
Li Zn Br
8 4 16
Cartesian
0.000 0.000 0.000
0.000 3.990 0.000
3.243 1.995 3.231
3.665 5.985 6.495
6.907 0.000 3.265
6.907 3.990 3.265
10.150 1.995 0.034
10.572 5.985 3.298
1.210 5.985 3.846
5.697 1.995 0.581
8.118 5.985 5.948
12.605 1.995 2.683
1.016 1.995 1.630
1.234 5.985 1.435
2.298 4.058 4.899
2.298 7.912 4.899
4.609 0.068 1.634
4.609 3.922 1.634
5.673 1.995 4.700
5.892 5.985 4.894
7.923 1.995 1.635
8.142 5.985 1.830
9.206 4.058 4.895
9.206 7.912 4.895
11.516 0.068 1.630
11.516 3.922 1.630
12.581 1.995 5.094
12.799 5.985 4.899
```

Largest 10 diffraction maxima, low angle first, 2θ from 5° to 70°:
Position (°2θ), I_rel
17.0, 13
25.8, 40
27.3, 26
29.2, 100
37.9, 19
45.5, 38
49.5, 41
53.9, 21
55.0, 16
69.5, 14

Structure and computed powder diffractogram of LuBr3 (a cell relaxed with GGA-PBE; a wavelength of 1.5418 Å).

Crystal structure
```
LuBr3
1.0
10.470 0.000 0.000
-5.235 9.068 0.000
0.000 0.000 3.649
Lu Br
2 6
Cartesian
0.000 6.045 0.912
5.235 3.023 2.737
0.000 3.958 2.737
-1.807 7.088 2.737
3.428 1.979 0.912
1.807 7.088 2.737
7.042 1.979 0.912
5.235 5.109 0.912
```

Largest 10 diffraction maxima, low angle first, 2θ from 5° to 70°:
Position (°2θ), I_rel
9.8, 100
16.9, 46
19.6, 42
31.5, 59
35.7, 17
35.9, 33
38.7, 20
43.7, 37
52.4, 16
62.4, 16

Structure and computed powder diffractogram of LuBr3O8 (a cell relaxed with GGA-PBE; a wavelength of 1.5418 Å).

Crystal structure
```
LuBr3O8
1.0
6.814 0.000 0.000
0.000 14.065 0.000
-2.814 0.000 9.575
Lu Br O
4 12 32
Cartesian
-0.067 1.736 2.593
-1.474 5.297 7.381
5.474 8.768 2.194
4.067 12.329 6.982
-1.884 8.800 8.685
-0.477 12.297 3.898
-1.003 2.102 8.949
0.404 4.930 4.161
0.344 10.464 6.676
1.751 10.634 1.888
2.249 3.431 7.687
3.656 3.601 2.899
3.595 9.135 5.414
5.002 11.963 0.627
4.476 1.768 5.677
5.883 5.265 0.890
-1.071 1.470 4.542
-2.478 5.562 9.330
-0.955 7.110 4.318
-2.362 13.988 9.106
0.170 10.167 2.663
-1.237 10.931 7.451
-1.134 7.374 7.990
0.273 13.724 3.202
1.209 2.410 0.979
-0.198 4.623 5.767
1.164 7.525 2.694
-0.243 13.572 7.481
1.134 3.379 3.631
-0.273 3.654 8.419
2.179 7.826 2.037
0.772 13.271 6.824
3.227 0.794 2.751
1.820 6.239 7.538
4.272 10.411 1.156
2.865 10.686 5.944
4.243 0.493 2.094
2.835 6.540 6.881
4.198 9.442 3.809
2.791 11.655 8.596
3.727 0.341 6.373
5.134 6.691 1.585
5.237 3.134 2.124
3.830 3.898 6.912
6.362 0.077 0.469
4.955 6.955 5.257
6.478 8.503 0.245
5.071 12.595 5.033
```

Largest 10 diffraction maxima, low angle first, 2θ from 5° to 70°:
Position (°2θ), I_rel
13.5, 100
15.6, 54
18.5, 40
19.5, 40
22.4, 66
28.8, 53
29.1, 48
30.3, 42
30.8, 68
32.3, 50

Structure and computed powder diffractogram of LuSBr (a cell relaxed with GGA-PBE; a wavelength of 1.5418 Å).

Crystal structure
```
LuSBr
1.0
3.977 0.000 0.000
0.000 5.635 0.000
0.000 0.000 8.348
Lu S Br
2 2 2
Cartesian
0.994 1.409 1.591
2.982 4.227 6.757
0.994 4.227 5.327
2.982 1.409 3.021
0.994 4.227 0.790
2.982 1.409 7.558
```

Largest 10 diffraction maxima, low angle first, 2θ from 5° to 70°:
Position (°2θ), I_rel
10.6, 100
19.0, 94
24.8, 81
31.1, 73
31.8, 55
35.0, 48
40.7, 45
42.8, 32
45.0, 51
67.1, 22

Structure and computed powder diffractogram of LuSBr (a cell relaxed with GGA-PBE; a wavelength of 1.5418 Å).

Crystal structure
```
LuSBr
1.0
3.957 0.000 0.000
0.000 5.272 0.000
0.000 0.000 9.741
Lu S Br
2 2 2
Cartesian
0.989 1.318 1.112
2.968 3.954 8.629
0.989 3.954 0.704
2.968 1.318 9.037
0.989 3.954 6.690
2.968 1.318 3.051
```

Largest 10 diffraction maxima, low angle first, 2θ from 5° to 70°:
Position (°2θ), I_rel
9.1, 100
19.1, 69
29.1, 54
29.7, 27
34.0, 23
35.8, 20
39.8, 22
45.3, 32
50.2, 27
58.3, 14